Computed PXRD pattern of PmTiMoO6 for copper Kα, from a PBE+U-relaxed structure.

Structural model:
Unit cell a=4.880 b=4.880 c=9.756 alpha=90.00 beta=90.00 gamma=90.00
Fractional positions:
Pm 0.000 0.000 0.000
Pm 0.500 0.500 0.500
Ti 0.000 0.000 0.343
Ti 0.500 0.500 0.843
Mo 0.000 0.000 0.668
Mo 0.500 0.500 0.168
O 0.173 0.173 0.500
O 0.221 0.221 0.816
O 0.223 0.223 0.189
O 0.277 0.723 0.689
O 0.279 0.721 0.316
O 0.327 0.673 0.000
O 0.673 0.327 0.000
O 0.721 0.279 0.316
O 0.723 0.277 0.689
O 0.777 0.777 0.189
O 0.779 0.779 0.816
O 0.827 0.827 0.500

Largest 10 diffraction maxima, sorted by position, 2θ = 5–70°:
Position (°2θ)  I_rel
20.35  21.1
25.82  100.0
31.76  10.9
33.10  79.9
36.84  21.7
50.35  67.2
53.08  19.5
59.94  14.9
63.21  17.3
64.00  21.9

=====

Computed PXRD pattern of PmTlMoO5 for copper Kα, from a PBE+U-relaxed structure.

Structural model:
Unit cell a=6.641 b=6.641 c=8.451 alpha=105.75 beta=105.75 gamma=105.57
Fractional positions:
Pm 0.000 0.000 0.000
Pm 0.000 0.000 0.500
Tl 0.298 0.702 0.750
Tl 0.702 0.298 0.250
Mo 0.313 0.687 0.250
Mo 0.687 0.313 0.750
O 0.077 0.923 0.750
O 0.133 0.707 0.376
O 0.223 0.401 0.104
O 0.293 0.867 0.124
O 0.401 0.223 0.604
O 0.599 0.777 0.396
O 0.707 0.133 0.876
O 0.777 0.599 0.896
O 0.867 0.293 0.624
O 0.923 0.077 0.250

Largest 10 diffraction maxima, sorted by position, 2θ = 5–70°:
Position (°2θ)  I_rel
22.73  78.4
24.81  100.0
28.20  99.6
29.06  90.2
30.62  61.8
42.97  26.2
45.33  30.9
45.84  28.5
48.14  32.7
55.84  27.6